BaLi3Pr2Pb3: simulated PXRD pattern (Cu Ka), based on the PBE geometry in OQMD.

Structural model:
```
data_BaLi3Pr2Pb3
_cell_length_a 4.9513
_cell_length_b 4.9513
_cell_length_c 12.2713
_cell_angle_alpha 90.00
_cell_angle_beta 90.00
_cell_angle_gamma 120.00
_symmetry_space_group_name_H-M 'P -6 m 2'
_symmetry_Int_Tables_number 187
_symmetry_space_group_name_Hall 'P -6 2'
loop_
_atom_site_label
_atom_site_type_symbol
_atom_site_fract_x
_atom_site_fract_y
_atom_site_fract_z
_atom_site_occupancy
Ba1 Ba 0.0000 0.0000 0.0000 1
Li1 Li 0.3333 0.6667 0.2100 1
Li2 Li 0.6667 0.3333 0.5000 1
Pr1 Pr 0.0000 0.0000 0.3411 1
Pb1 Pb 0.3333 0.6667 0.5000 1
Pb2 Pb 0.6667 0.3333 0.2039 1
```

Peak list (6 most intense, 10 to 90 degrees two-theta, in order of rising 2θ)
| 2theta | d [Å] | I_rel | hkl |
| --- | --- | --- | --- |
| 21.96 | 4.048 | 34 | 1 0 1 |
| 25.34 | 3.515 | 72 | 1 0 2 |
| 30.20 | 2.960 | 100 | 1 0 3 |
| 36.29 | 2.476 | 72 | 1 1 0 |
| 47.90 | 1.899 | 28 | 2 0 3 |
| 61.55 | 1.507 | 27 | 2 1 3 |

---

Ba2LiTcSe6: simulated PXRD pattern (Cu Ka), based on the PBE geometry in OQMD.

Structural model:
```
data_Ba2LiTcSe6
_cell_length_a 12.312
_cell_length_b 7.103
_cell_length_c 7.114
_cell_angle_alpha 90.00
_cell_angle_beta 125.26
_cell_angle_gamma 90.00
_symmetry_space_group_name_H-M 'C 1 2/m 1'
_symmetry_Int_Tables_number 12
_symmetry_space_group_name_Hall '-C 2y'
loop_
_atom_site_label
_atom_site_type_symbol
_atom_site_fract_x
_atom_site_fract_y
_atom_site_fract_z
_atom_site_occupancy
Ba1 Ba 0.250 0.000 0.250 1
Li1 Li 0.000 0.000 0.500 1
Tc1 Tc 0.000 0.500 0.000 1
Se1 Se 0.002 0.250 0.753 1
Se2 Se 0.249 0.500 0.253 1
```

Peak list (6 most intense, 10 to 90 degrees two-theta, in order of rising 2θ)
| 2theta | d [Å] | I_rel | hkl |
| --- | --- | --- | --- |
| 25.05 | 3.554 | 28 | 1 1 1 |
| 30.81 | 2.902 | 100 | 2 2 0 |
| 35.73 | 2.513 | 89 | 4 0 0 |
| 51.42 | 1.777 | 62 | 0 4 0 |
| 61.15 | 1.516 | 41 | 0 4 2 |
| 86.60 | 1.124 | 24 | 0 4 4 |

---

BaLiTmTe3: simulated PXRD pattern (Cu Ka), based on the PBE geometry in OQMD.

Structural model:
```
data_BaLiTmTe3
_cell_length_a 19.196
_cell_length_b 4.506
_cell_length_c 9.479
_cell_angle_alpha 90.00
_cell_angle_beta 103.54
_cell_angle_gamma 90.00
_symmetry_space_group_name_H-M 'C 1 2/m 1'
_symmetry_Int_Tables_number 12
_symmetry_space_group_name_Hall '-C 2y'
loop_
_atom_site_label
_atom_site_type_symbol
_atom_site_fract_x
_atom_site_fract_y
_atom_site_fract_z
_atom_site_occupancy
Ba1 Ba 0.137 0.000 0.067 1
Li1 Li 0.008 0.500 0.699 1
Tm1 Tm 0.165 0.000 0.582 1
Te1 Te 0.000 0.000 0.500 1
Te2 Te 0.000 0.500 0.000 1
Te3 Te 0.170 0.500 0.365 1
Te4 Te 0.173 0.500 0.802 1
```

Peak list (6 most intense, 10 to 90 degrees two-theta, in order of rising 2θ)
| 2theta | d [Å] | I_rel | hkl |
| --- | --- | --- | --- |
| 27.31 | 3.265 | 100 | 1 1 -2 |
| 28.70 | 3.110 | 55 | 6 0 0 |
| 37.97 | 2.370 | 26 | 2 0 -4 |
| 39.84 | 2.262 | 27 | 5 1 2 |
| 40.02 | 2.253 | 29 | 0 2 0 |
| 40.22 | 2.242 | 25 | 7 1 -2 |

---

BaLuNO: simulated PXRD pattern (Cu Ka), based on the PBE geometry in OQMD.

Structural model:
```
data_BaLuNO
_cell_length_a 6.811
_cell_length_b 8.260
_cell_length_c 5.793
_cell_angle_alpha 90.00
_cell_angle_beta 90.00
_cell_angle_gamma 90.00
_symmetry_space_group_name_H-M 'P c a 21'
_symmetry_Int_Tables_number 29
_symmetry_space_group_name_Hall 'P 2c -2ac'
loop_
_atom_site_label
_atom_site_type_symbol
_atom_site_fract_x
_atom_site_fract_y
_atom_site_fract_z
_atom_site_occupancy
Ba1 Ba 0.073 0.148 0.000 1
Lu1 Lu 0.088 0.605 0.995 1
N1 N 0.108 0.586 0.619 1
O1 O 0.040 0.158 0.539 1
```

Peak list (6 most intense, 10 to 90 degrees two-theta, in order of rising 2θ)
| 2theta | d [Å] | I_rel | hkl |
| --- | --- | --- | --- |
| 25.22 | 3.532 | 34 | 1 2 0 |
| 29.63 | 3.015 | 100 | 1 2 1 |
| 30.45 | 2.936 | 50 | 2 0 1 |
| 30.87 | 2.896 | 42 | 0 0 2 |
| 45.60 | 1.989 | 27 | 3 2 0 |
| 56.08 | 1.640 | 27 | 3 2 2 |

---

BaLu2O4: simulated PXRD pattern (Cu Ka), based on the PBE geometry in OQMD.

Structural model:
Cell lengths 9.753, 9.753, 9.753 Å; angles 90.00, 90.00, 90.00 degrees
Space group Fd-3m (No. 227, origin choice 2)
Inequivalent atoms, fractional coordinates:
Ba 0.125 0.125 0.125 [8 per cell]
Lu 0.000 0.000 0.500 [16 per cell]
O 0.022 0.022 0.728 [32 per cell]

Peak list (6 most intense, 10 to 90 degrees two-theta, in order of rising 2θ)
| 2theta | d [Å] | I_rel | hkl |
| --- | --- | --- | --- |
| 15.74 | 5.631 | 21 | 1 1 1 |
| 30.40 | 2.941 | 100 | 3 1 1 |
| 31.78 | 2.815 | 35 | 2 2 2 |
| 48.50 | 1.877 | 42 | 5 1 1 |
| 53.12 | 1.724 | 42 | 4 4 0 |
| 74.77 | 1.270 | 22 | 5 5 3 |

---

BaMg2Mo: simulated PXRD pattern (Cu Ka), based on the PBE geometry in OQMD.

Structural model:
```
data_BaMg2Mo
_cell_length_a 7.632
_cell_length_b 7.632
_cell_length_c 7.632
_cell_angle_alpha 90.00
_cell_angle_beta 90.00
_cell_angle_gamma 90.00
_symmetry_space_group_name_H-M 'F -4 3 m'
_symmetry_Int_Tables_number 216
_symmetry_space_group_name_Hall 'F -4 2 3'
loop_
_atom_site_label
_atom_site_type_symbol
_atom_site_fract_x
_atom_site_fract_y
_atom_site_fract_z
_atom_site_occupancy
Ba1 Ba 0.000 0.000 0.000 1
Mg1 Mg 0.000 0.000 0.500 1
Mg2 Mg 0.250 0.250 0.750 1
Mo1 Mo 0.250 0.250 0.250 1
```

Peak list (6 most intense, 10 to 90 degrees two-theta, in order of rising 2θ)
| 2theta | d [Å] | I_rel | hkl |
| --- | --- | --- | --- |
| 20.15 | 4.406 | 48 | 1 1 1 |
| 33.20 | 2.698 | 100 | 2 2 0 |
| 39.15 | 2.301 | 26 | 3 1 1 |
| 47.66 | 1.908 | 18 | 4 0 0 |
| 59.32 | 1.558 | 36 | 4 2 2 |
| 79.42 | 1.207 | 16 | 6 2 0 |

---

Ba2MgNbS6: simulated PXRD pattern (Cu Ka), based on the PBE geometry in OQMD.

Structural model:
```
data_Ba2MgNbS6
_cell_length_a 9.874
_cell_length_b 9.874
_cell_length_c 9.874
_cell_angle_alpha 90.00
_cell_angle_beta 90.00
_cell_angle_gamma 90.00
_symmetry_space_group_name_H-M 'F m -3 m'
_symmetry_Int_Tables_number 225
_symmetry_space_group_name_Hall '-F 4 2 3'
loop_
_atom_site_label
_atom_site_type_symbol
_atom_site_fract_x
_atom_site_fract_y
_atom_site_fract_z
_atom_site_occupancy
Ba1 Ba 0.250 0.250 0.250 1
Mg1 Mg 0.000 0.000 0.000 1
Nb1 Nb 0.000 0.000 0.500 1
S1 S 0.000 0.000 0.253 1
```

Peak list (6 most intense, 10 to 90 degrees two-theta, in order of rising 2θ)
| 2theta | d [Å] | I_rel | hkl |
| --- | --- | --- | --- |
| 25.52 | 3.491 | 100 | 2 2 0 |
| 31.38 | 2.850 | 46 | 2 2 2 |
| 36.40 | 2.469 | 66 | 4 0 0 |
| 44.97 | 2.016 | 44 | 4 2 2 |
| 52.42 | 1.746 | 44 | 4 4 0 |
| 71.50 | 1.320 | 22 | 6 4 2 |

---

BaMgPdPb2: simulated PXRD pattern (Cu Ka), based on the PBE geometry in OQMD.

Structural model:
```
data_BaMgPdPb2
_cell_length_a 5.078
_cell_length_b 5.078
_cell_length_c 11.258
_cell_angle_alpha 90.00
_cell_angle_beta 90.00
_cell_angle_gamma 90.00
_symmetry_space_group_name_H-M 'I 4 m m'
_symmetry_Int_Tables_number 107
_symmetry_space_group_name_Hall 'I 4 -2'
loop_
_atom_site_label
_atom_site_type_symbol
_atom_site_fract_x
_atom_site_fract_y
_atom_site_fract_z
_atom_site_occupancy
Ba1 Ba 0.000 0.000 0.000 1
Mg1 Mg 0.000 0.000 0.405 1
Pd1 Pd 0.000 0.000 0.635 1
Pb1 Pb 0.000 0.500 0.245 1
```

Peak list (6 most intense, 10 to 90 degrees two-theta, in order of rising 2θ)
| 2theta | d [Å] | I_rel | hkl |
| --- | --- | --- | --- |
| 15.74 | 5.629 | 28 | 0 0 2 |
| 29.52 | 3.026 | 100 | 1 1 2 |
| 35.35 | 2.539 | 41 | 2 0 0 |
| 40.74 | 2.215 | 20 | 1 1 4 |
| 55.24 | 1.663 | 17 | 1 1 6 |
| 59.91 | 1.544 | 26 | 3 1 2 |

---

BaPrMgSb2: simulated PXRD pattern (Cu Ka), based on the PBE geometry in OQMD.

Structural model:
```
data_BaPrMgSb2
_cell_length_a 4.930
_cell_length_b 18.809
_cell_length_c 7.328
_cell_angle_alpha 90.00
_cell_angle_beta 90.00
_cell_angle_gamma 90.00
_symmetry_space_group_name_H-M 'C m c 21'
_symmetry_Int_Tables_number 36
_symmetry_space_group_name_Hall 'C 2c -2'
loop_
_atom_site_label
_atom_site_type_symbol
_atom_site_fract_x
_atom_site_fract_y
_atom_site_fract_z
_atom_site_occupancy
Ba1 Ba 0.000 0.199 0.000 1
Pr1 Pr 0.000 0.013 0.721 1
Mg1 Mg 0.000 0.405 0.896 1
Sb1 Sb 0.000 0.161 0.487 1
Sb2 Sb 0.000 0.438 0.498 1
```

Peak list (6 most intense, 10 to 90 degrees two-theta, in order of rising 2θ)
| 2theta | d [Å] | I_rel | hkl |
| --- | --- | --- | --- |
| 24.29 | 3.664 | 22 | 0 0 2 |
| 26.04 | 3.421 | 69 | 0 2 2 |
| 29.88 | 2.991 | 58 | 1 5 0 |
| 31.00 | 2.885 | 35 | 0 6 1 |
| 33.66 | 2.662 | 100 | 1 3 2 |
| 36.45 | 2.465 | 36 | 2 0 0 |

---

BaMg2TlPt: simulated PXRD pattern (Cu Ka), based on the PBE geometry in OQMD.

Structural model:
```
data_BaMg2TlPt
_cell_length_a 4.572
_cell_length_b 4.572
_cell_length_c 12.918
_cell_angle_alpha 90.00
_cell_angle_beta 90.00
_cell_angle_gamma 90.00
_symmetry_space_group_name_H-M 'I 4 m m'
_symmetry_Int_Tables_number 107
_symmetry_space_group_name_Hall 'I 4 -2'
loop_
_atom_site_label
_atom_site_type_symbol
_atom_site_fract_x
_atom_site_fract_y
_atom_site_fract_z
_atom_site_occupancy
Ba1 Ba 0.000 0.000 0.000 1
Mg1 Mg 0.000 0.500 0.225 1
Tl1 Tl 0.000 0.000 0.382 1
Pt1 Pt 0.000 0.000 0.612 1
```

Peak list (6 most intense, 10 to 90 degrees two-theta, in order of rising 2θ)
| 2theta | d [Å] | I_rel | hkl |
| --- | --- | --- | --- |
| 20.61 | 4.310 | 43 | 1 0 1 |
| 27.59 | 3.233 | 100 | 1 1 0 |
| 28.47 | 3.135 | 95 | 1 0 3 |
| 39.42 | 2.286 | 81 | 2 0 0 |
| 40.09 | 2.249 | 71 | 1 0 5 |
| 57.47 | 1.603 | 50 | 2 1 5 |

---

BaSmMgSb2: simulated PXRD pattern (Cu Ka), based on the PBE geometry in OQMD.

Structural model:
```
data_BaSmMgSb2
_cell_length_a 4.896
_cell_length_b 18.782
_cell_length_c 7.239
_cell_angle_alpha 90.00
_cell_angle_beta 90.00
_cell_angle_gamma 90.00
_symmetry_space_group_name_H-M 'C m c 21'
_symmetry_Int_Tables_number 36
_symmetry_space_group_name_Hall 'C 2c -2'
loop_
_atom_site_label
_atom_site_type_symbol
_atom_site_fract_x
_atom_site_fract_y
_atom_site_fract_z
_atom_site_occupancy
Ba1 Ba 0.000 0.199 0.000 1
Sm1 Sm 0.000 0.013 0.719 1
Mg1 Mg 0.000 0.406 0.897 1
Sb1 Sb 0.000 0.160 0.492 1
Sb2 Sb 0.000 0.439 0.496 1
```

Peak list (6 most intense, 10 to 90 degrees two-theta, in order of rising 2θ)
| 2theta | d [Å] | I_rel | hkl |
| --- | --- | --- | --- |
| 26.18 | 3.404 | 42 | 1 3 1 |
| 26.39 | 3.377 | 24 | 0 2 2 |
| 29.98 | 2.980 | 55 | 1 5 0 |
| 31.11 | 2.875 | 44 | 0 6 1 |
| 33.97 | 2.639 | 100 | 1 3 2 |
| 36.71 | 2.448 | 35 | 2 0 0 |

---

BaScMo2: simulated PXRD pattern (Cu Ka), based on the PBE geometry in OQMD.

Structural model:
```
data_BaScMo2
_cell_length_a 6.977
_cell_length_b 6.977
_cell_length_c 6.977
_cell_angle_alpha 90.00
_cell_angle_beta 90.00
_cell_angle_gamma 90.00
_symmetry_space_group_name_H-M 'F -4 3 m'
_symmetry_Int_Tables_number 216
_symmetry_space_group_name_Hall 'F -4 2 3'
loop_
_atom_site_label
_atom_site_type_symbol
_atom_site_fract_x
_atom_site_fract_y
_atom_site_fract_z
_atom_site_occupancy
Ba1 Ba 0.000 0.000 0.000 1
Sc1 Sc 0.250 0.250 0.250 1
Mo1 Mo 0.000 0.000 0.500 1
Mo2 Mo 0.250 0.250 0.750 1
```

Peak list (6 most intense, 10 to 90 degrees two-theta, in order of rising 2θ)
| 2theta | d [Å] | I_rel | hkl |
| --- | --- | --- | --- |
| 25.53 | 3.488 | 7 | 2 0 0 |
| 36.42 | 2.467 | 100 | 2 2 0 |
| 52.46 | 1.744 | 17 | 4 0 0 |
| 65.55 | 1.424 | 34 | 4 2 2 |
| 77.37 | 1.233 | 11 | 4 4 0 |
| 88.67 | 1.103 | 16 | 6 2 0 |